Computed X-ray diffraction stick pattern of Ac3Er2Pb3 for Cu Ka, from the PBE geometry in Alexandria.
Neutral-atom scattering factors, no anomalous dispersion.

Structure:
abc: 9.6664 9.6664 6.8977
angles: 90.00 90.00 120.00
Space group P6_3/mcm (No. 193)
One atom of each set of equivalent atoms:
Ac1 0.0000 0.2457 0.2500 x6
Er1 0.3333 0.6667 0.0000 x4
Pb1 0.0000 0.4011 0.7500 x6

Peak list (12 most intense, 5 to 70 degrees two-theta, by angle)
25.83 deg, intensity 23
28.20 deg, intensity 24
31.10 deg, intensity 100
31.88 deg, intensity 58
32.08 deg, intensity 31
41.02 deg, intensity 16
45.85 deg, intensity 11
48.97 deg, intensity 29
49.25 deg, intensity 10
51.05 deg, intensity 12
53.11 deg, intensity 9
61.57 deg, intensity 16

---

Computed X-ray diffraction stick pattern of Ac2ErPb9 for Cu Ka, from the PBE geometry in Alexandria.
Neutral-atom scattering factors, no anomalous dispersion.

Structure:
abc: 5.0220 5.0220 14.8601
angles: 90.00 90.00 90.00
Space group P4/mmm (No. 123)
One atom of each set of equivalent atoms:
Ac1 0.0000 0.0000 0.1716 x2
Er1 0.0000 0.0000 0.5000 x1
Pb1 0.0000 0.5000 0.0000 x2
Pb2 0.0000 0.5000 0.3447 x4
Pb3 0.5000 0.5000 0.1716 x2
Pb4 0.5000 0.5000 0.5000 x1

Peak list (12 most intense, 5 to 70 degrees two-theta, by angle)
27.85 deg, intensity 1
30.07 deg, intensity 1
30.99 deg, intensity 100
35.76 deg, intensity 35
36.27 deg, intensity 16
47.40 deg, intensity 1
51.47 deg, intensity 13
51.85 deg, intensity 23
55.86 deg, intensity 2
61.30 deg, intensity 30
61.98 deg, intensity 12
64.58 deg, intensity 12